# 1
This entry pairs a crystal structure of Te6RhBr3 with its calculated powder diffraction line list. Radiation: Cu Kα X-rays. Structure: a structure optimized by DFT (GGA-PBE).
Intensities are scaled so that the largest is 100.

Cell and atoms:
a = 15.4514 Å, b = 15.4514 Å, c = 9.9986 Å
α = 90.00°, β = 90.00°, γ = 120.00°
Space group R-3c (No. 167, hexagonal axes)
Asymmetric unit:
Te: 0.0752 0.1659 0.0950
Rh: 0.0000 0.0000 0.2500
Br: 0.0000 0.2627 0.7500

The 6 most intense peaks (2θ = 10–80°), sorted by position:
| 2theta | Rel. int. | index |
| --- | --- | --- |
| 11.45 | 61 | 1 1 0 |
| 29.99 | 100 | 3 1 2 |
| 38.14 | 21 | 5 0 2 |
| 43.66 | 35 | 1 3 4 |
| 47.05 | 29 | 4 4 0 |
| 51.16 | 13 | 0 7 2 |

***

# 2
This entry pairs a crystal structure of PdS2 with its calculated powder diffraction line list. Radiation: Cu Kα X-rays. Structure: a structure optimized by DFT (GGA-PBE).
Intensities are scaled so that the largest is 100.

Cell and atoms:
a = 5.5017 Å, b = 5.5939 Å, c = 8.6071 Å
α = 90.00°, β = 90.00°, γ = 90.00°
Space group Pbca (No. 61)
Asymmetric unit:
Pd: 0.0000 0.0000 0.0000
S: 0.1042 0.1103 0.4269

The 6 most intense peaks (2θ = 10–80°), sorted by position:
| 2theta | Rel. int. | index |
| --- | --- | --- |
| 20.64 | 100 | 0 0 2 |
| 24.95 | 54 | 1 1 1 |
| 38.38 | 23 | 0 2 2 |
| 38.88 | 57 | 2 0 2 |
| 52.93 | 23 | 1 3 1 |
| 53.68 | 27 | 3 1 1 |

***

# 3
This entry pairs a crystal structure of Cs2RbFeC6N6 with its calculated powder diffraction line list. Radiation: Cu Kα X-rays. Structure: a structure optimized by DFT (GGA-PBE).
Intensities are scaled so that the largest is 100.

Cell and atoms:
a = 7.8577 Å, b = 8.3567 Å, c = 13.7855 Å
α = 90.00°, β = 124.29°, γ = 90.00°
Space group P2_1/c (No. 14)
Asymmetric unit:
Cs: 0.2270 0.0702 0.2482
Rb: 0.0000 0.0000 0.5000
Fe: 0.5000 0.0000 0.0000
C: 0.2646 0.1190 0.9661
C: 0.3414 0.6931 0.4557
C: 0.4192 0.0277 0.8419
N: 0.1172 0.1905 0.9435
N: 0.2420 0.6890 0.9277
N: 0.3712 0.0478 0.7449

The 6 most intense peaks (2θ = 10–80°), sorted by position:
| 2theta | Rel. int. | index |
| --- | --- | --- |
| 21.26 | 39 | 0 2 0 |
| 21.95 | 100 | 1 1 1 |
| 22.08 | 99 | 1 1 -3 |
| 22.64 | 65 | 2 0 -2 |
| 35.07 | 39 | 1 3 0 |
| 39.25 | 46 | 2 0 -6 |

***

# 4
This entry pairs a crystal structure of NbCr3Cu2S8 with its calculated powder diffraction line list. Radiation: Cu Kα X-rays. Structure: a structure optimized by DFT (GGA-PBE).
Intensities are scaled so that the largest is 100.

Cell and atoms:
a = 3.3893 Å, b = 11.0790 Å, c = 12.4406 Å
α = 90.00°, β = 90.00°, γ = 90.00°
Space group Pmn2_1 (No. 31)
Asymmetric unit:
Nb: 0.0000 0.1640 0.0000
Cr: 0.0000 0.1971 0.5471
Cr: 0.0000 0.6719 0.3439
Cr: 0.0000 0.6853 0.8128
Cu: 0.0000 0.4670 0.6108
Cu: 0.0000 0.9625 0.7657
S: 0.0000 0.1672 0.3606
S: 0.0000 0.3000 0.7179
S: 0.0000 0.3770 0.9738
S: 0.0000 0.4566 0.2668
S: 0.0000 0.6536 0.0004
S: 0.0000 0.8049 0.6433
S: 0.0000 0.8853 0.3598
S: 0.0000 0.9450 0.0827

The 6 most intense peaks (2θ = 10–80°), sorted by position:
| 2theta | Rel. int. | index |
| --- | --- | --- |
| 28.10 | 69 | 0 3 2 |
| 31.12 | 66 | 1 1 2 |
| 34.18 | 100 | 1 0 3 |
| 35.14 | 50 | 1 1 3 |
| 42.13 | 74 | 1 4 0 |
| 42.25 | 49 | 1 3 3 |

***

# 5
This entry pairs a crystal structure of HoInAu2 with its calculated powder diffraction line list. Radiation: Cu Kα X-rays. Structure: a structure optimized by DFT (GGA-PBE).
Intensities are scaled so that the largest is 100.

Cell and atoms:
a = 6.9893 Å, b = 6.9893 Å, c = 6.9893 Å
α = 90.00°, β = 90.00°, γ = 90.00°
Space group Fm-3m (No. 225)
Asymmetric unit:
Ho: 0.0000 0.0000 0.0000
In: 0.0000 0.0000 0.5000
Au: 0.2500 0.2500 0.2500

The 6 most intense peaks (2θ = 10–80°), sorted by position:
| 2theta | Rel. int. | index |
| --- | --- | --- |
| 25.49 | 4 | 2 0 0 |
| 36.36 | 100 | 2 2 0 |
| 52.36 | 18 | 4 0 0 |
| 59.11 | 2 | 4 2 0 |
| 65.42 | 36 | 4 2 2 |
| 77.21 | 11 | 4 4 0 |

***

# 6
This entry pairs a crystal structure of LaGe2Rh2 with its calculated powder diffraction line list. Radiation: Cu Kα X-rays. Structure: a structure optimized by DFT (GGA-PBE).
Intensities are scaled so that the largest is 100.

Cell and atoms:
a = 4.2214 Å, b = 4.2214 Å, c = 10.6863 Å
α = 90.00°, β = 90.00°, γ = 90.00°
Space group I4/mmm (No. 139)
Asymmetric unit:
La: 0.0000 0.0000 0.0000
Ge: 0.0000 0.0000 0.3733
Rh: 0.0000 0.5000 0.2500

The 6 most intense peaks (2θ = 10–80°), sorted by position:
| 2theta | Rel. int. | index |
| --- | --- | --- |
| 32.90 | 58 | 1 0 3 |
| 34.42 | 100 | 1 1 2 |
| 42.85 | 57 | 2 0 0 |
| 55.05 | 26 | 2 1 3 |
| 60.54 | 21 | 1 1 6 |
| 73.06 | 22 | 3 1 2 |

***

# 7
This entry pairs a crystal structure of Sm2MgS4 with its calculated powder diffraction line list. Radiation: Cu Kα X-rays. Structure: a structure optimized by DFT (GGA-PBE).
Intensities are scaled so that the largest is 100.

Cell and atoms:
a = 8.1233 Å, b = 7.2766 Å, c = 11.6468 Å
α = 90.00°, β = 90.00°, γ = 90.00°
Space group Pnma (No. 62)
Asymmetric unit:
Sm: 0.0349 0.2500 0.1884
Sm: 0.0804 0.7500 0.4717
Mg: 0.1870 0.7500 0.0874
S: 0.0950 0.2500 0.9505
S: 0.1374 0.5017 0.6553
S: 0.2121 0.2500 0.3910

The 6 most intense peaks (2θ = 10–80°), sorted by position:
| 2theta | Rel. int. | index |
| --- | --- | --- |
| 14.35 | 77 | 0 1 1 |
| 22.41 | 57 | 1 1 2 |
| 24.47 | 96 | 0 2 0 |
| 25.43 | 55 | 1 0 3 |
| 35.58 | 100 | 1 2 3 |
| 36.23 | 75 | 3 1 1 |

***

# 8
This entry pairs a crystal structure of MgV2S4 with its calculated powder diffraction line list. Radiation: Cu Kα X-rays. Structure: a structure optimized by DFT (GGA-PBE).
Intensities are scaled so that the largest is 100.

Cell and atoms:
a = 10.2847 Å, b = 10.2847 Å, c = 10.2847 Å
α = 90.00°, β = 90.00°, γ = 90.00°
Space group Fd-3m (No. 227, origin choice 2)
Asymmetric unit:
Mg: 0.1250 0.1250 0.1250
V: 0.0000 0.0000 0.5000
S: 0.0114 0.0114 0.7386

The 6 most intense peaks (2θ = 10–80°), sorted by position:
| 2theta | Rel. int. | index |
| --- | --- | --- |
| 14.92 | 65 | 1 1 1 |
| 28.79 | 68 | 3 1 1 |
| 34.90 | 100 | 4 0 0 |
| 45.85 | 44 | 5 1 1 |
| 50.18 | 97 | 4 4 0 |
| 62.57 | 18 | 4 4 4 |

***

# 9
This entry pairs a crystal structure of Nb2Cd2O7 with its calculated powder diffraction line list. Radiation: Cu Kα X-rays. Structure: a structure optimized by DFT (GGA-PBE).
Intensities are scaled so that the largest is 100.

Cell and atoms:
a = 7.4438 Å, b = 10.5718 Å, c = 7.5306 Å
α = 90.00°, β = 90.00°, γ = 90.00°
Space group Ima2 (No. 46)
Asymmetric unit:
Nb: 0.0000 0.0000 0.0000
Nb: 0.2500 0.2432 0.2442
Cd: 0.0000 0.0000 0.4983
Cd: 0.2500 0.7428 0.7570
O: 0.0534 0.1247 0.2132
O: 0.0612 0.1268 0.8294
O: 0.2500 0.1802 0.5161
O: 0.2500 0.5664 0.5234
O: 0.2500 0.6257 0.0144

The 6 most intense peaks (2θ = 10–80°), sorted by position:
| 2theta | Rel. int. | index |
| --- | --- | --- |
| 29.12 | 100 | 0 2 2 |
| 29.35 | 98 | 2 2 0 |
| 33.88 | 63 | 2 0 2 |
| 48.69 | 58 | 2 4 2 |
| 57.57 | 27 | 2 2 4 |
| 57.95 | 40 | 4 2 2 |

***

# 10
This entry pairs a crystal structure of LiPr2IrO6 with its calculated powder diffraction line list. Radiation: Cu Kα X-rays. Structure: a structure optimized by DFT (GGA-PBE).
Intensities are scaled so that the largest is 100.

Cell and atoms:
a = 5.4886 Å, b = 5.8368 Å, c = 9.5279 Å
α = 90.00°, β = 124.65°, γ = 90.00°
Space group P2_1/c (No. 14)
Asymmetric unit:
Li: 0.0000 0.0000 0.0000
Pr: 0.2315 0.0703 0.7482
Ir: 0.5000 0.0000 0.5000
O: 0.1564 0.1892 0.4534
O: 0.2671 0.7129 0.4494
O: 0.3477 0.0266 0.2543

The 6 most intense peaks (2θ = 10–80°), sorted by position:
| 2theta | Rel. int. | index |
| --- | --- | --- |
| 18.96 | 77 | 0 1 1 |
| 19.83 | 43 | 1 0 -2 |
| 30.63 | 40 | 0 2 0 |
| 31.87 | 100 | 1 1 1 |
| 32.09 | 100 | 1 1 -3 |
| 32.63 | 52 | 2 0 -2 |

***

# 11
This entry pairs a crystal structure of K3Nb3B2O12 with its calculated powder diffraction line list. Radiation: Cu Kα X-rays. Structure: a structure optimized by DFT (GGA-PBE).
Intensities are scaled so that the largest is 100.

Cell and atoms:
a = 8.9432 Å, b = 8.9432 Å, c = 3.9660 Å
α = 90.00°, β = 90.00°, γ = 120.00°
Space group P-62m (No. 189)
Asymmetric unit:
K: 0.0000 0.4041 0.0000
Nb: 0.0000 0.7530 0.5000
B: 0.3333 0.6667 0.5000
O: 0.0000 0.1779 0.5000
O: 0.0000 0.7356 0.0000
O: 0.1896 0.6855 0.5000

The 6 most intense peaks (2θ = 10–80°), sorted by position:
| 2theta | Rel. int. | index |
| --- | --- | --- |
| 11.43 | 41 | 1 0 0 |
| 19.86 | 77 | 1 1 0 |
| 22.42 | 46 | 0 0 1 |
| 30.12 | 92 | 1 1 1 |
| 30.54 | 100 | 2 1 0 |
| 32.31 | 40 | 2 0 1 |